# 1
The following is a theoretical powder diffraction line list of Mn3Cr2FeP6O24. It was derived from a DFT-relaxed cell (PBE+U, the Materials Project), using Cu Kα.

Cell and atoms:
```
data_Mn3Cr2FeP6O24
_symmetry_space_group_name_H-M 'R 3'
_symmetry_Int_Tables_number 146
_symmetry_space_group_name_Hall 'R 3'
_cell_length_a 8.6567
_cell_length_b 8.6567
_cell_length_c 20.4103
_cell_angle_alpha 90.00
_cell_angle_beta 90.00
_cell_angle_gamma 120.00
loop_
_atom_site_label
_atom_site_fract_x
_atom_site_fract_y
_atom_site_fract_z
Mn1 0.0000 0.0000 0.0000
Mn2 0.0000 0.0000 0.2095
Mn3 0.0000 0.0000 0.4999
Cr1 0.0000 0.0000 0.3552
Cr2 0.0000 0.0000 0.8541
Fe1 0.0000 0.0000 0.7082
P1 0.0001 0.2982 0.6047
P2 0.0349 0.6675 0.7717
O1 0.0080 0.7997 0.1675
O2 0.0088 0.8342 0.7817
O3 0.0113 0.2046 0.6659
O4 0.0118 0.1780 0.2834
O5 0.1327 0.4595 0.2085
O6 0.1330 0.6738 0.7091
O7 0.1660 0.4909 0.5935
O8 0.1665 0.6756 0.0939
```

Largest 6 diffraction maxima, by angle, 10 to 90 degrees two-theta:
| Position (°2θ) | I/Imax | h k l |
| --- | --- | --- |
| 20.52 | 75 | 1 1 0 |
| 24.37 | 100 | 1 1 3 |
| 33.51 | 65 | 1 1 6 |
| 35.94 | 40 | 3 0 0 |
| 47.98 | 26 | 3 -2 8 |
| 49.95 | 27 | 2 2 6 |



# 2
The following is a theoretical powder diffraction line list of Cr2FeNO8. It was derived from a DFT-relaxed cell (PBE+U, the Materials Project), using Cu Kα.

Cell and atoms:
```
data_Cr2FeNO8
_symmetry_space_group_name_H-M 'P n m a'
_symmetry_Int_Tables_number 62
_cell_length_a 14.785
_cell_length_b 5.587
_cell_length_c 8.827
_cell_angle_alpha 90.00
_cell_angle_beta 90.00
_cell_angle_gamma 90.00
loop_
_symmetry_equiv_pos_as_xyz
'x,y,z'
'-x,-y,-z'
'-x+1/2,-y,z+1/2'
'x+1/2,y,-z+1/2'
'x+1/2,-y+1/2,-z+1/2'
'-x+1/2,y+1/2,z+1/2'
'-x,y+1/2,-z'
'x,-y+1/2,z'
loop_
_atom_site_label
_atom_site_fract_x
_atom_site_fract_y
_atom_site_fract_z
Cr1 0.066 0.250 0.183
Cr2 0.160 0.250 0.742
Fe1 0.157 0.750 0.995
N1 0.126 0.750 0.468
O1 0.026 0.750 0.928
O2 0.038 0.250 0.360
O3 0.053 0.250 0.714
O4 0.130 0.005 0.147
O5 0.188 0.005 0.845
O6 0.215 0.250 0.574
```

Largest 6 diffraction maxima, by angle, 10 to 90 degrees two-theta:
| Position (°2θ) | I/Imax | h k l |
| --- | --- | --- |
| 11.68 | 66 | 1 0 1 |
| 19.74 | 30 | 1 1 1 |
| 22.34 | 38 | 2 1 1 |
| 26.14 | 35 | 4 0 1 |
| 28.46 | 100 | 2 1 2 |
| 32.04 | 25 | 0 2 0 |